Entry 1:
Starting from a cell relaxed with PBE, the powder X-ray diffraction pattern of CeTl2Ag9 was simulated for Cu Kα, 1.54184 Å.
Peak positions follow from Bragg's law for the DFT cell and can differ from measured ones.

Unit cell a=9.854 b=9.854 c=9.854 alpha=33.35 beta=33.35 gamma=33.35
Fractional positions:
Ce1 0.000 0.000 0.000
Tl1 0.142 0.142 0.142
Tl2 0.858 0.858 0.858
Ag1 0.081 0.585 0.585
Ag2 0.333 0.333 0.333
Ag3 0.415 0.415 0.919
Ag4 0.415 0.919 0.415
Ag5 0.500 0.500 0.500
Ag6 0.585 0.081 0.585
Ag7 0.585 0.585 0.081
Ag8 0.667 0.667 0.667
Ag9 0.919 0.415 0.415

The 6 most intense peaks (2θ = 10–90°), in order of falling intensity:
37.23°, 2.415 Å, rel. 100.0; 31.64°, 2.827 Å, rel. 34.3; 36.85°, 2.439 Å, rel. 30.3; 28.88°, 3.091 Å, rel. 27.1; 40.22°, 2.242 Å, rel. 25.3; 60.06°, 1.540 Å, rel. 24.5


Entry 2:
Starting from a cell relaxed with PBE, the powder X-ray diffraction pattern of Ce4TlAg was simulated for Cu Kα, 1.54184 Å.
Peak positions follow from Bragg's law for the DFT cell and can differ from measured ones.

Unit cell a=6.159 b=6.159 c=6.159 alpha=131.12 beta=121.40 gamma=79.71
Fractional positions:
Ce1 0.061 0.823 0.238
Ce2 0.415 0.177 0.238
Ce3 0.585 0.823 0.762
Ce4 0.939 0.177 0.762
Tl1 0.500 0.500 0.000
Ag1 0.000 0.500 0.500

The 6 most intense peaks (2θ = 10–90°), in order of falling intensity:
33.42°, 2.681 Å, rel. 100.0; 35.27°, 2.545 Å, rel. 93.3; 35.89°, 2.502 Å, rel. 69.2; 50.73°, 1.800 Å, rel. 34.8; 60.59°, 1.528 Å, rel. 25.5; 71.86°, 1.314 Å, rel. 20.2


Entry 3:
Starting from a cell relaxed with PBE, the powder X-ray diffraction pattern of CeYAg was simulated for Cu Kα, 1.54184 Å.
Peak positions follow from Bragg's law for the DFT cell and can differ from measured ones.

Unit cell a=8.681 b=8.681 c=5.277 alpha=90.00 beta=90.00 gamma=156.72
Fractional positions:
Ce1 0.231 0.769 0.750
Ce2 0.769 0.231 0.250
Y1 0.080 0.920 0.250
Y2 0.920 0.080 0.750
Ag1 0.425 0.575 0.250
Ag2 0.575 0.425 0.750

The 6 most intense peaks (2θ = 10–90°), in order of falling intensity:
34.56°, 2.595 Å, rel. 100.0; 33.98°, 2.639 Å, rel. 27.9; 31.57°, 2.834 Å, rel. 26.4; 61.18°, 1.515 Å, rel. 18.4; 47.06°, 1.931 Å, rel. 17.0; 58.16°, 1.586 Å, rel. 12.6


Entry 4:
Starting from a cell relaxed with PBE, the powder X-ray diffraction pattern of Ce2YAg6 was simulated for Cu Kα, 1.54184 Å.
Peak positions follow from Bragg's law for the DFT cell and can differ from measured ones.

Unit cell a=8.480 b=8.480 c=3.244 alpha=90.00 beta=90.00 gamma=120.00
Fractional positions:
Ce1 0.333 0.667 0.000
Ce2 0.667 0.333 0.000
Y1 0.000 0.000 0.000
Ag1 0.000 0.331 0.500
Ag2 0.000 0.669 0.500
Ag3 0.331 0.000 0.500
Ag4 0.331 0.331 0.500
Ag5 0.669 0.000 0.500
Ag6 0.669 0.669 0.500

The 6 most intense peaks (2θ = 10–90°), in order of falling intensity:
34.82°, 2.576 Å, rel. 100.0; 36.71°, 2.448 Å, rel. 94.3; 51.49°, 1.775 Å, rel. 31.9; 64.90°, 1.437 Å, rel. 31.1; 69.52°, 1.352 Å, rel. 27.2; 66.11°, 1.413 Å, rel. 15.8


Entry 5:
Starting from a cell relaxed with PBE, the powder X-ray diffraction pattern of Ce2Zn3Ag3 was simulated for Cu Kα, 1.54184 Å.
Peak positions follow from Bragg's law for the DFT cell and can differ from measured ones.

Unit cell a=8.384 b=8.384 c=5.841 alpha=90.00 beta=90.00 gamma=120.00
Fractional positions:
Ce1 0.333 0.667 0.000
Ce2 0.333 0.667 0.500
Ce3 0.667 0.333 0.000
Ce4 0.667 0.333 0.500
Zn1 0.000 0.327 0.250
Zn2 0.000 0.673 0.750
Zn3 0.327 0.000 0.250
Zn4 0.327 0.327 0.750
Zn5 0.673 0.000 0.750
Zn6 0.673 0.673 0.250
Ag1 0.000 0.309 0.750
Ag2 0.000 0.691 0.250
Ag3 0.309 0.000 0.750
Ag4 0.309 0.309 0.250
Ag5 0.691 0.000 0.250
Ag6 0.691 0.691 0.750

The 6 most intense peaks (2θ = 10–90°), in order of falling intensity:
37.15°, 2.420 Å, rel. 100.0; 37.53°, 2.396 Å, rel. 90.3; 53.84°, 1.703 Å, rel. 30.1; 67.22°, 1.393 Å, rel. 28.4; 12.19°, 7.261 Å, rel. 24.3; 76.13°, 1.250 Å, rel. 22.9


Entry 6:
Starting from a cell relaxed with PBE, the powder X-ray diffraction pattern of CeZn10Ag was simulated for Cu Kα, 1.54184 Å.
Peak positions follow from Bragg's law for the DFT cell and can differ from measured ones.

Unit cell a=4.367 b=5.092 c=9.289 alpha=90.00 beta=90.00 gamma=90.00
Fractional positions:
Ce1 0.000 0.000 0.000
Zn1 0.000 0.000 0.348
Zn2 0.000 0.000 0.652
Zn3 0.000 0.500 0.202
Zn4 0.000 0.500 0.798
Zn5 0.500 0.000 0.500
Zn6 0.500 0.241 0.238
Zn7 0.500 0.241 0.762
Zn8 0.500 0.500 0.000
Zn9 0.500 0.759 0.238
Zn10 0.500 0.759 0.762
Ag1 0.000 0.500 0.500

The 6 most intense peaks (2θ = 10–90°), in order of falling intensity:
39.84°, 2.263 Å, rel. 100.0; 41.04°, 2.199 Å, rel. 50.4; 41.35°, 2.183 Å, rel. 50.0; 28.59°, 3.122 Å, rel. 42.1; 40.40°, 2.232 Å, rel. 29.8; 59.21°, 1.561 Å, rel. 23.9


Entry 7:
Starting from a cell relaxed with PBE, the powder X-ray diffraction pattern of CeZn2Ag2 was simulated for Cu Kα, 1.54184 Å.
Peak positions follow from Bragg's law for the DFT cell and can differ from measured ones.

Unit cell a=6.427 b=6.427 c=6.427 alpha=141.32 beta=141.32 gamma=55.86
Fractional positions:
Ce1 0.000 0.000 0.000
Zn1 0.391 0.391 0.000
Zn2 0.609 0.609 0.000
Ag1 0.250 0.750 0.500
Ag2 0.750 0.250 0.500

The 6 most intense peaks (2θ = 10–90°), in order of falling intensity:
33.70°, 2.660 Å, rel. 100.0; 42.46°, 2.129 Å, rel. 43.5; 31.63°, 2.829 Å, rel. 32.8; 53.87°, 1.702 Å, rel. 23.2; 45.25°, 2.004 Å, rel. 21.5; 72.10°, 1.310 Å, rel. 20.6


Entry 8:
Starting from a cell relaxed with PBE, the powder X-ray diffraction pattern of CeZn4Ag8 was simulated for Cu Kα, 1.54184 Å.
Peak positions follow from Bragg's law for the DFT cell and can differ from measured ones.

Unit cell a=7.186 b=7.186 c=7.186 alpha=97.77 beta=97.77 gamma=136.85
Fractional positions:
Ce1 0.000 0.000 0.000
Zn1 0.000 0.000 0.500
Zn2 0.000 0.500 0.000
Zn3 0.500 0.000 0.000
Zn4 0.500 0.500 0.500
Ag1 0.000 0.348 0.348
Ag2 0.000 0.652 0.652
Ag3 0.283 0.500 0.783
Ag4 0.348 0.000 0.348
Ag5 0.500 0.283 0.783
Ag6 0.500 0.717 0.217
Ag7 0.652 0.000 0.652
Ag8 0.717 0.500 0.217

The 6 most intense peaks (2θ = 10–90°), in order of falling intensity:
38.33°, 2.348 Å, rel. 100.0; 38.09°, 2.363 Å, rel. 48.4; 33.11°, 2.706 Å, rel. 46.6; 43.68°, 2.072 Å, rel. 44.6; 39.06°, 2.306 Å, rel. 44.0; 33.93°, 2.642 Å, rel. 26.1


Which formula does entry 1 have?
CeTl2Ag9


What did the fifth record say?
Starting from a cell relaxed with PBE, the powder X-ray diffraction pattern of Ce2Zn3Ag3 was simulated for Cu Kα, 1.54184 Å.
Peak positions follow from Bragg's law for the DFT cell and can differ from measured ones.

Unit cell a=8.384 b=8.384 c=5.841 alpha=90.00 beta=90.00 gamma=120.00
Fractional positions:
Ce1 0.333 0.667 0.000
Ce2 0.333 0.667 0.500
Ce3 0.667 0.333 0.000
Ce4 0.667 0.333 0.500
Zn1 0.000 0.327 0.250
Zn2 0.000 0.673 0.750
Zn3 0.327 0.000 0.250
Zn4 0.327 0.327 0.750
Zn5 0.673 0.000 0.750
Zn6 0.673 0.673 0.250
Ag1 0.000 0.309 0.750
Ag2 0.000 0.691 0.250
Ag3 0.309 0.000 0.750
Ag4 0.309 0.309 0.250
Ag5 0.691 0.000 0.250
Ag6 0.691 0.691 0.750

The 6 most intense peaks (2θ = 10–90°), in order of falling intensity:
37.15°, 2.420 Å, rel. 100.0; 37.53°, 2.396 Å, rel. 90.3; 53.84°, 1.703 Å, rel. 30.1; 67.22°, 1.393 Å, rel. 28.4; 12.19°, 7.261 Å, rel. 24.3; 76.13°, 1.250 Å, rel. 22.9